1.
Li7Co5O12: simulated powder X-ray diffraction pattern (Cu Kα (λ = 1.5418 Å)), based on a structure optimized by DFT (GGA+U).
No peak broadening, texture or thermal motion is included.

Structure:
```
data_Li7Co5O12
_cell_length_a 4.9979
_cell_length_b 5.6794
_cell_length_c 7.4937
_cell_angle_alpha 79.00
_cell_angle_beta 77.92
_cell_angle_gamma 73.25
_space_group_name_H-M_alt 'P -1'
_space_group_IT_number 2
loop_
_space_group_symop_operation_xyz
'x,y,z'
'-x,-y,-z'
loop_
_atom_site_label
_atom_site_type_symbol
_atom_site_fract_x
_atom_site_fract_y
_atom_site_fract_z
Li1 Li 0.0000 0.0000 0.0000
Li2 Li 0.0000 0.5000 0.0000
Li3 Li 0.0007 0.1586 0.3381
Li4 Li 0.0041 0.3284 0.6638
Li5 Li 0.5000 0.0000 0.5000
Co1 Co 0.4967 0.6719 0.8296
Co2 Co 0.4975 0.1669 0.8318
Co3 Co 0.5000 0.5000 0.5000
O1 O 0.2721 0.9916 0.7625
O2 O 0.2785 0.8119 0.4089
O3 O 0.2785 0.4953 0.7441
O4 O 0.2804 0.3458 0.4068
O5 O 0.2839 0.1601 0.0818
O6 O 0.2887 0.6557 0.0781
```

Principal peaks in the range 5° ≤ 2θ ≤ 70°, in order of rising 2θ:
12.20°, I 81
18.80°, I 1000
37.16°, I 367
38.75°, I 69
44.85°, I 510
45.07°, I 250
64.69°, I 67
64.91°, I 66
65.77°, I 69
65.94°, I 134

2.
MnTcO4F: simulated powder X-ray diffraction pattern (Cu Kα (λ = 1.5418 Å)), based on a structure optimized by DFT (GGA+U).
No peak broadening, texture or thermal motion is included.

Structure:
```
data_MnTcO4F
_cell_length_a 8.9798
_cell_length_b 7.2434
_cell_length_c 8.5108
_cell_angle_alpha 90.00
_cell_angle_beta 117.85
_cell_angle_gamma 90.00
_space_group_name_H-M_alt 'C 1 2/m 1'
_space_group_IT_number 12
loop_
_space_group_symop_operation_xyz
'x,y,z'
'-x,-y,-z'
'-x,y,-z'
'x,-y,z'
'x+1/2,y+1/2,z'
'-x+1/2,-y+1/2,-z'
'-x+1/2,y+1/2,-z'
'x+1/2,-y+1/2,z'
loop_
_atom_site_label
_atom_site_type_symbol
_atom_site_fract_x
_atom_site_fract_y
_atom_site_fract_z
Mn1 Mn 0.1647 0.0000 0.1834
Tc1 Tc 0.1400 0.5000 0.3076
O1 O 0.0646 0.5000 0.7186
O2 O 0.1706 0.3036 0.2088
O3 O 0.2175 0.0000 0.4657
F1 F 0.0933 0.0000 0.9161
```

Principal peaks in the range 5° ≤ 2θ ≤ 70°, in order of rising 2θ:
19.82°, I 1000
23.23°, I 354
23.65°, I 471
24.26°, I 738
24.58°, I 815
29.95°, I 256
31.77°, I 320
34.37°, I 223
45.81°, I 222
52.57°, I 196